The following is a theoretical powder XRD pattern of Cu3NiHgSe4. It was derived from a cell relaxed with PBE, using Cu Kα (λ = 1.5418 Å).
Neutral-atom scattering factors, no anomalous dispersion.

The 10 most intense peaks (10 to 90 degrees two-theta), by angle:
- 2θ 21.6, intensity 43, (1 1 0)
- 2θ 26.5, intensity 94, (1 1 1)
- 2θ 37.8, intensity 22, (2 1 1)
- 2θ 43.9, intensity 100, (2 2 0)
- 2θ 52.0, intensity 41, (3 1 1)
- 2θ 59.3, intensity 14, (3 2 1)
- 2θ 63.9, intensity 15, (4 0 0)
- 2θ 70.4, intensity 15, (3 3 1)
- 2θ 80.8, intensity 30, (4 2 2)
- 2θ 86.8, intensity 12, (3 3 3)

Cell and atoms:
abc: 5.8301 5.8301 5.8301
angles: 90.00 90.00 90.00
Space group P-43m (No. 215)
Asymmetric unit:
Cu: 0.0000 0.0000 0.5000
Ni: 0.0000 0.0000 0.0000
Hg: 0.5000 0.5000 0.5000
Se: 0.2313 0.2313 0.2313